Diffraction record for Pm6DySc3. The powder XRD pattern is theoretical, not measured: it uses a GGA-PBE-relaxed structure and Cu Kα.

Structure:
```
Pm6DySc3
1.0
4.8669 2.8099 3.8632
-4.8669 2.8099 3.8632
0.0000 -5.6198 3.8632
Pm Dy Sc
6 1 3
direct
0.0000 0.3377 0.6623
0.1652 0.8348 0.5000
0.3377 0.6623 0.0000
0.5000 0.1652 0.8348
0.6623 0.0000 0.3377
0.8348 0.5000 0.1652
0.0000 0.0000 0.0000
0.2584 0.2584 0.2584
0.5000 0.5000 0.5000
0.7416 0.7416 0.7416
```

The 6 most intense peaks (10 to 90 degrees two-theta), sorted by position:
- 29.52 deg, d = 3.026 Å, I = 100
- 31.85 deg, d = 2.810 Å, I = 95
- 43.98 deg, d = 2.059 Å, I = 34
- 55.31 deg, d = 1.661 Å, I = 34
- 56.74 deg, d = 1.622 Å, I = 18
- 57.93 deg, d = 1.592 Å, I = 25